V3Mo2Au: theoretical X-ray powder pattern (CuKα), based on a structure optimized by DFT (GGA-PBE).
Intensities are scaled so that the largest is 100.

Structure:
```
V3Mo2Au
1.0
3.132 0.000 0.000
0.000 3.132 0.000
0.000 0.000 9.198
V Mo Au
3 2 1
Cartesian
0.000 0.000 0.000
0.000 0.000 2.899
0.000 0.000 6.299
1.566 1.566 1.540
1.566 1.566 7.658
1.566 1.566 4.599
```

Most intense lines, 2θ from 5° to 70°, in order of rising 2θ:
d_spacing	two_theta	intensity	h k l
9.198	9.6	18	0 0 1
3.132	28.5	27	1 0 0
3.066	29.1	14	0 0 3
2.965	30.1	10	1 0 1
2.589	34.7	8	1 0 2
2.214	40.7	53	1 1 0
2.191	41.2	100	1 0 3
1.795	50.9	12	1 1 3
1.566	59.0	17	2 0 0
1.533	60.4	7	0 0 6
1.395	67.1	6	2 0 3
1.377	68.1	6	1 0 6



TiMnSi4: theoretical X-ray powder pattern (CuKα), based on a structure optimized by DFT (GGA-PBE).
Intensities are scaled so that the largest is 100.

Structure:
```
TiMnSi4
1.0
4.537 0.000 0.000
0.000 12.802 0.000
-2.246 0.000 3.979
Ti Mn Si
3 3 12
Cartesian
0.000 0.000 0.000
0.000 6.338 0.000
2.269 8.482 0.000
-1.123 4.167 1.989
-1.123 10.651 1.989
2.269 2.164 0.000
0.007 2.128 1.350
0.035 8.530 1.360
0.039 6.306 2.609
1.123 10.644 0.687
0.025 12.785 2.658
1.171 4.196 0.663
1.120 4.196 3.316
2.265 12.785 1.321
2.252 6.306 1.370
1.168 10.644 3.292
2.256 8.530 2.619
2.284 2.128 2.628
```

Most intense lines, 2θ from 5° to 70°, in order of rising 2θ:
d_spacing	two_theta	intensity	h k l
3.379	26.4	8	0 2 1
3.356	26.6	16	1 2 -1
2.485	36.1	7	1 4 0
2.295	39.2	9	1 0 1
2.284	39.4	7	1 0 -2
2.269	39.7	6	2 0 -1
2.161	41.8	50	1 2 1
2.151	42.0	49	1 2 -2
2.136	42.3	100	0 6 0
1.865	48.8	27	1 4 1
1.859	49.0	31	1 4 -2
1.851	49.2	32	2 4 -1



Q: Which formula does entry 1 have?
A: V3Mo2Au